The following is a computed PXRD pattern of Ho3Al3Os2. It was derived from a cell relaxed with GGA-PBE, using Cu Kα, 1.54184 Å.

Atomic structure:
abc: 7.625 15.299 5.735
angles: 90.00 90.00 90.00
Fractional positions:
Ho 0.035 0.108 0.103
Ho 0.035 0.392 0.103
Ho 0.172 0.250 0.634
Ho 0.328 0.750 0.134
Ho 0.465 0.608 0.603
Ho 0.465 0.892 0.603
Ho 0.535 0.108 0.397
Ho 0.535 0.392 0.397
Ho 0.672 0.250 0.866
Ho 0.828 0.750 0.366
Ho 0.965 0.608 0.897
Ho 0.965 0.892 0.897
Al 0.162 0.034 0.595
Al 0.162 0.466 0.595
Al 0.171 0.750 0.619
Al 0.329 0.250 0.119
Al 0.338 0.534 0.095
Al 0.338 0.966 0.095
Al 0.662 0.034 0.905
Al 0.662 0.466 0.905
Al 0.671 0.750 0.881
Al 0.829 0.250 0.381
Al 0.838 0.534 0.405
Al 0.838 0.966 0.405
Os 0.133 0.608 0.373
Os 0.133 0.892 0.373
Os 0.367 0.108 0.873
Os 0.367 0.392 0.873
Os 0.633 0.608 0.127
Os 0.633 0.892 0.127
Os 0.867 0.108 0.627
Os 0.867 0.392 0.627

Peak list (8 most intense, 10 to 90 degrees two-theta, low angle first)
- d 3.824, intensity 68
- d 3.409, intensity 96
- d 2.644, intensity 100
- d 2.548, intensity 60
- d 2.443, intensity 94
- d 2.375, intensity 85
- d 2.324, intensity 68
- d 1.695, intensity 54



The following is a computed PXRD pattern of Fe2Ni9N8. It was derived from a cell relaxed with GGA-PBE, using Cu Kα, 1.54184 Å.

Atomic structure:
abc: 9.287 9.287 7.102
angles: 108.88 108.88 21.53
Fractional positions:
Fe 0.183 0.183 0.196
Fe 0.817 0.817 0.804
Ni 0.021 0.021 0.842
Ni 0.191 0.191 0.663
Ni 0.360 0.360 0.144
Ni 0.397 0.397 0.682
Ni 0.500 0.500 0.500
Ni 0.603 0.603 0.318
Ni 0.640 0.640 0.856
Ni 0.809 0.809 0.337
Ni 0.979 0.979 0.158
N 0.130 0.130 0.937
N 0.142 0.142 0.390
N 0.282 0.282 0.257
N 0.495 0.495 0.244
N 0.505 0.505 0.756
N 0.718 0.718 0.743
N 0.858 0.858 0.610
N 0.870 0.870 0.063

Peak list (8 most intense, 10 to 90 degrees two-theta, low angle first)
- d 3.353, intensity 43
- d 2.872, intensity 41
- d 2.559, intensity 48
- d 2.469, intensity 26
- d 2.445, intensity 58
- d 2.314, intensity 39
- d 2.240, intensity 100
- d 1.734, intensity 46



The following is a computed PXRD pattern of Cu5Pb4. It was derived from a cell relaxed with GGA-PBE, using Cu Kα, 1.54184 Å.

Atomic structure:
abc: 8.469 8.469 5.924
angles: 90.00 90.00 120.00
Fractional positions:
Cu 0.000 0.309 0.250
Cu 0.000 0.691 0.750
Cu 0.309 0.000 0.250
Cu 0.309 0.309 0.750
Cu 0.333 0.667 0.000
Cu 0.333 0.667 0.500
Cu 0.667 0.333 0.000
Cu 0.667 0.333 0.500
Cu 0.691 0.000 0.750
Cu 0.691 0.691 0.250
Pb 0.000 0.000 0.000
Pb 0.000 0.000 0.500
Pb 0.000 0.373 0.750
Pb 0.000 0.627 0.250
Pb 0.373 0.000 0.750
Pb 0.373 0.373 0.250
Pb 0.627 0.000 0.250
Pb 0.627 0.627 0.750

Peak list (8 most intense, 10 to 90 degrees two-theta, low angle first)
- d 3.667, intensity 23
- d 3.445, intensity 46
- d 2.511, intensity 24
- d 2.445, intensity 100
- d 2.427, intensity 98
- d 1.722, intensity 27
- d 1.408, intensity 26
- d 1.267, intensity 25



The following is a computed PXRD pattern of Rb4U3FeSe8. It was derived from a cell relaxed with GGA-PBE, using Cu Kα, 1.54184 Å.

Atomic structure:
abc: 9.359 9.359 9.359
angles: 53.25 53.25 53.25
Fractional positions:
Rb 0.000 0.000 0.000
Rb 0.000 0.500 0.500
Rb 0.500 0.000 0.500
Rb 0.500 0.500 0.000
U 0.000 0.000 0.500
U 0.000 0.500 0.000
U 0.500 0.000 0.000
Fe 0.500 0.500 0.500
Se 0.233 0.233 0.233
Se 0.238 0.726 0.726
Se 0.274 0.274 0.762
Se 0.274 0.762 0.274
Se 0.726 0.238 0.726
Se 0.726 0.726 0.238
Se 0.762 0.274 0.274
Se 0.767 0.767 0.767

Peak list (8 most intense, 10 to 90 degrees two-theta, low angle first)
- d 8.009, intensity 40
- d 3.108, intensity 100
- d 2.495, intensity 16
- d 2.315, intensity 35
- d 2.097, intensity 35
- d 1.738, intensity 19
- d 1.338, intensity 15
- d 1.248, intensity 13



The following is a computed PXRD pattern of Ac16Ni5Os3. It was derived from a cell relaxed with GGA-PBE, using Cu Kα, 1.54184 Å.

Atomic structure:
abc: 8.584 8.584 13.839
angles: 90.05 90.05 60.50
Fractional positions:
Ac 0.000 0.000 0.000
Ac 0.003 0.003 0.501
Ac 0.022 0.488 0.012
Ac 0.166 0.166 0.271
Ac 0.168 0.674 0.268
Ac 0.330 0.839 0.767
Ac 0.331 0.331 0.770
Ac 0.488 0.022 0.012
Ac 0.488 0.488 0.008
Ac 0.512 0.512 0.511
Ac 0.513 0.980 0.510
Ac 0.665 0.665 0.271
Ac 0.674 0.168 0.268
Ac 0.837 0.837 0.768
Ac 0.839 0.330 0.767
Ac 0.980 0.513 0.510
Ni 0.167 0.665 0.886
Ni 0.338 0.338 0.145
Ni 0.665 0.167 0.886
Ni 0.673 0.673 0.650
Ni 0.834 0.834 0.386
Os 0.167 0.167 0.888
Os 0.335 0.834 0.388
Os 0.834 0.335 0.388

Peak list (8 most intense, 10 to 90 degrees two-theta, low angle first)
- d 3.460, intensity 27
- d 3.287, intensity 100
- d 3.268, intensity 49
- d 2.903, intensity 44
- d 2.890, intensity 22
- d 2.224, intensity 24
- d 2.146, intensity 42
- d 1.962, intensity 29



The following is a computed PXRD pattern of Tb6Tm3In. It was derived from a cell relaxed with GGA-PBE, using Cu Kα, 1.54184 Å.

Atomic structure:
abc: 9.580 5.546 12.394
angles: 90.00 110.94 90.00
Fractional positions:
Tb 0.040 0.250 0.431
Tb 0.185 0.750 0.166
Tb 0.254 0.250 0.008
Tb 0.346 0.750 0.798
Tb 0.347 0.250 0.326
Tb 0.425 0.250 0.638
Tb 0.575 0.750 0.362
Tb 0.653 0.750 0.674
Tb 0.654 0.250 0.202
Tb 0.746 0.750 0.992
Tb 0.815 0.250 0.834
Tb 0.960 0.750 0.569
Tm 0.026 0.750 0.866
Tm 0.100 0.250 0.720
Tm 0.272 0.750 0.472
Tm 0.728 0.250 0.528
Tm 0.900 0.750 0.280
Tm 0.974 0.250 0.134
In 0.466 0.750 0.083
In 0.534 0.250 0.917

Peak list (8 most intense, 10 to 90 degrees two-theta, low angle first)
- d 2.960, intensity 30
- d 2.773, intensity 59
- d 2.756, intensity 83
- d 2.743, intensity 100
- d 2.611, intensity 41
- d 2.023, intensity 20
- d 1.596, intensity 36
- d 1.552, intensity 16



The following is a computed PXRD pattern of AlNiP2C. It was derived from a cell relaxed with GGA-PBE, using Cu Kα, 1.54184 Å.

Atomic structure:
abc: 3.344 3.344 7.154
angles: 90.00 90.00 120.00
Fractional positions:
Al 0.000 0.000 0.000
Ni 0.667 0.333 0.493
P 0.000 0.000 0.660
P 0.333 0.667 0.326
C 0.333 0.667 0.084

Peak list (8 most intense, 10 to 90 degrees two-theta, low angle first)
- d 7.154, intensity 87
- d 3.577, intensity 22
- d 2.684, intensity 100
- d 2.251, intensity 50
- d 1.841, intensity 52
- d 1.672, intensity 39
- d 1.522, intensity 17
- d 1.238, intensity 13